No. 1
Theoretical powder diffractogram of TaNiB for a wavelength of 1.5418 Å, from DFT lattice parameters and positions (PBE).
Neutral-atom scattering factors, no anomalous dispersion.

Top 10 peaks for 2θ from 10° to 80°, by angle:
2θ = 28.04°, rel. 36, hkl 0 1 1
2θ = 30.43°, rel. 29, hkl 2 0 0
2θ = 30.66°, rel. 21, hkl 1 0 3
2θ = 31.99°, rel. 30, hkl 0 1 2
2θ = 40.85°, rel. 100, hkl 1 1 -3
2θ = 41.01°, rel. 43, hkl 1 1 3
2θ = 41.81°, rel. 19, hkl 2 1 -1
2θ = 44.85°, rel. 48, hkl 2 1 2
2θ = 47.27°, rel. 20, hkl 2 0 -4
2θ = 54.75°, rel. 23, hkl 0 2 0

Atomic structure:
Cell lengths 5.8825, 3.3530, 10.1126 Å; angles 90.00, 90.34, 90.00 degrees
Space group P2_1/m (No. 11)
Unique sites:
Ta 0.0309 0.2500 0.2108 x2
Ta 0.3459 0.7500 0.5797 x2
Ta 0.4671 0.7500 0.8795 x2
Ni 0.0020 0.2500 0.5887 x2
Ni 0.1439 0.2500 0.9628 x2
Ni 0.3650 0.7500 0.2981 x2
B 0.2413 0.2500 0.4173 x2
B 0.2428 0.7500 0.0846 x2
B 0.2643 0.2500 0.7498 x2

---

No. 2
Theoretical powder diffractogram of Tb4Ni13B4 for a wavelength of 1.5418 Å, from DFT lattice parameters and positions (PBE).
Neutral-atom scattering factors, no anomalous dispersion.

Top 10 peaks for 2θ from 10° to 80°, by angle:
2θ = 32.72°, rel. 70, hkl 1 3 1
2θ = 32.92°, rel. 39, hkl 3 1 1
2θ = 33.32°, rel. 27, hkl 4 2 0
2θ = 37.49°, rel. 42, hkl 0 4 1
2θ = 40.50°, rel. 19, hkl 2 4 1
2θ = 40.76°, rel. 100, hkl 4 2 1
2θ = 43.53°, rel. 40, hkl 3 5 0
2θ = 43.86°, rel. 21, hkl 5 3 0
2θ = 46.58°, rel. 43, hkl 0 0 2
2θ = 65.64°, rel. 25, hkl 3 5 2

Atomic structure:
Cell lengths 11.9898, 12.1722, 3.8994 Å; angles 90.00, 90.00, 90.00 degrees
Space group Cmmm (No. 65)
Unique sites:
Tb 0.0000 0.1902 0.0000 x4
Tb 0.1521 0.5000 0.0000 x4
Ni 0.0000 0.0000 0.5000 x2
Ni 0.1057 0.3153 0.5000 x8
Ni 0.1222 0.0000 0.0000 x4
Ni 0.1809 0.1053 0.5000 x8
Ni 0.2500 0.2500 0.0000 x4
B 0.0000 0.4353 0.5000 x4
B 0.2500 0.2500 0.5000 x4

---

What did the first record say?
Theoretical powder diffractogram of TaNiB for a wavelength of 1.5418 Å, from DFT lattice parameters and positions (PBE).
Neutral-atom scattering factors, no anomalous dispersion.

Top 10 peaks for 2θ from 10° to 80°, by angle:
2θ = 28.04°, rel. 36, hkl 0 1 1
2θ = 30.43°, rel. 29, hkl 2 0 0
2θ = 30.66°, rel. 21, hkl 1 0 3
2θ = 31.99°, rel. 30, hkl 0 1 2
2θ = 40.85°, rel. 100, hkl 1 1 -3
2θ = 41.01°, rel. 43, hkl 1 1 3
2θ = 41.81°, rel. 19, hkl 2 1 -1
2θ = 44.85°, rel. 48, hkl 2 1 2
2θ = 47.27°, rel. 20, hkl 2 0 -4
2θ = 54.75°, rel. 23, hkl 0 2 0

Atomic structure:
Cell lengths 5.8825, 3.3530, 10.1126 Å; angles 90.00, 90.34, 90.00 degrees
Space group P2_1/m (No. 11)
Unique sites:
Ta 0.0309 0.2500 0.2108 x2
Ta 0.3459 0.7500 0.5797 x2
Ta 0.4671 0.7500 0.8795 x2
Ni 0.0020 0.2500 0.5887 x2
Ni 0.1439 0.2500 0.9628 x2
Ni 0.3650 0.7500 0.2981 x2
B 0.2413 0.2500 0.4173 x2
B 0.2428 0.7500 0.0846 x2
B 0.2643 0.2500 0.7498 x2